1.
The following is a simulated powder X-ray diffraction pattern of Lu2Al3Co. It was derived from a DFT-relaxed cell (GGA-PBE, the Materials Project), using Cu Kα (λ = 1.5418 Å).

Cell and atoms:
Cell lengths 5.4398, 5.4398, 8.4886 Å; angles 90.00, 90.00, 120.00 degrees
Space group P6_3/mmc (No. 194)
Symmetry-distinct sites (fractional):
Lu 0.3333 0.6667 0.0555 (multiplicity 4)
Al 0.1626 0.3251 0.7500 (multiplicity 6)
Co 0.0000 0.0000 0.0000 (multiplicity 2)

Largest 6 diffraction maxima, by angle, 5° ≤ 2θ ≤ 70°:
2θ (°)  I_rel  hkl
20.93  39  0 0 2
32.93  94  1 1 0
37.06  75  1 0 3
39.34  100  1 1 2
61.53  35  2 1 3
63.13  25  3 0 2

2.
The following is a simulated powder X-ray diffraction pattern of As2Ru. It was derived from a DFT-relaxed cell (GGA-PBE, the Materials Project), using Cu Kα (λ = 1.5418 Å).

Cell and atoms:
Cell lengths 5.492, 6.250, 3.015 Å; angles 90.00, 90.00, 90.00 degrees
Space group Pnnm (No. 58)
Symmetry-distinct sites (fractional):
As 0.171 0.135 0.000 (multiplicity 4)
Ru 0.000 0.500 0.000 (multiplicity 2)

Largest 6 diffraction maxima, by angle, 5° ≤ 2θ ≤ 70°:
2θ (°)  I_rel  hkl
32.98  63  1 2 0
33.92  100  1 0 1
36.93  52  1 1 1
47.06  63  2 1 1
52.05  39  3 1 0
53.46  45  0 3 1